[1]
For CdB2H8, DFT lattice parameters and positions (PBE) gives the simulated XRD peak list in this record (Cu Kα X-rays).

Atomic structure:
```
CdB2H8
1.0
5.8648 0.0000 0.0000
0.0000 5.8648 0.0000
0.0000 0.0000 6.1722
Cd B H
2 4 16
Direct
0.0000 0.0000 0.0000
0.5000 0.5000 0.5000
0.2359 0.2359 0.7385
0.2641 0.7359 0.2385
0.7359 0.2641 0.2385
0.7641 0.7641 0.7385
0.0456 0.3021 0.7952
0.1279 0.8721 0.3178
0.1978 0.5456 0.2952
0.2222 0.2222 0.5426
0.2778 0.7222 0.0426
0.3021 0.0456 0.7952
0.3721 0.3721 0.8178
0.4544 0.8022 0.2952
0.5456 0.1978 0.2952
0.6279 0.6279 0.8178
0.6978 0.9544 0.7952
0.7222 0.2778 0.0426
0.7778 0.7778 0.5426
0.8022 0.4544 0.2952
0.8721 0.1279 0.3178
0.9544 0.6978 0.7952
```

Main lines, in order of rising 2θ (2θ from 10° to 90°):
2θ 20.9, rel. 100; 2θ 21.4, rel. 48; 2θ 30.5, rel. 14; 2θ 36.3, rel. 25; 2θ 37.2, rel. 46; 2θ 42.5, rel. 19



[2]
For Li3BN2, DFT lattice parameters and positions (PBE) gives the simulated XRD peak list in this record (Cu Kα X-rays).

Atomic structure:
```
Li3BN2
1.0
-3.3162 3.3162 5.1847
3.3162 -3.3162 5.1847
3.3162 3.3162 -5.1847
Li B N
12 4 8
Direct
0.0012 0.2512 0.7500
0.1508 0.4008 0.3016
0.1508 0.8492 0.7500
0.2512 0.0012 0.2500
0.4008 0.1508 0.8016
0.4008 0.5992 0.2500
0.5992 0.4008 0.7500
0.5992 0.8492 0.1984
0.7488 0.9988 0.7500
0.8492 0.1508 0.2500
0.8492 0.5992 0.6984
0.9988 0.7488 0.2500
0.2280 0.4780 0.7500
0.4780 0.2280 0.2500
0.5220 0.7720 0.7500
0.7720 0.5220 0.2500
0.2234 0.2703 0.5470
0.2234 0.6764 0.9530
0.2703 0.2234 0.0470
0.3236 0.7766 0.5470
0.6764 0.2234 0.4530
0.7297 0.7766 0.9530
0.7766 0.3236 0.0470
0.7766 0.7297 0.4530
```

Main lines, in order of rising 2θ (2θ from 10° to 90°):
2θ 15.9, rel. 23; 2θ 29.1, rel. 35; 2θ 32.0, rel. 100; 2θ 34.6, rel. 19; 2θ 44.4, rel. 35; 2θ 55.4, rel. 22



[3]
For TiZnPt2, DFT lattice parameters and positions (PBE) gives the simulated XRD peak list in this record (Cu Kα X-rays).

Atomic structure:
```
TiZnPt2
1.0
6.2626 0.0000 0.0000
0.0000 6.2626 0.0000
0.0000 0.0000 6.2626
Ti Zn Pt
4 4 8
Direct
0.0000 0.0000 0.0000
0.0000 0.5000 0.5000
0.5000 0.0000 0.5000
0.5000 0.5000 0.0000
0.0000 0.0000 0.5000
0.0000 0.5000 0.0000
0.5000 0.0000 0.0000
0.5000 0.5000 0.5000
0.2500 0.2500 0.2500
0.2500 0.2500 0.7500
0.2500 0.7500 0.2500
0.2500 0.7500 0.7500
0.7500 0.2500 0.2500
0.7500 0.2500 0.7500
0.7500 0.7500 0.2500
0.7500 0.7500 0.7500
```

Main lines, in order of rising 2θ (2θ from 10° to 90°):
2θ 28.5, rel. 35; 2θ 40.8, rel. 100; 2θ 59.0, rel. 17; 2θ 66.8, rel. 14; 2θ 74.2, rel. 34; 2θ 88.3, rel. 11



[4]
For LiSbSe2, DFT lattice parameters and positions (PBE) gives the simulated XRD peak list in this record (Cu Kα X-rays).

Atomic structure:
```
LiSbSe2
1.0
4.0809 0.0000 0.0000
0.0000 4.0809 0.0000
0.0000 0.0000 5.5836
Li Sb Se
1 1 2
Direct
0.0000 0.0000 0.0000
0.5000 0.5000 0.5000
0.0000 0.0000 0.5000
0.5000 0.5000 0.0000
```

Main lines, in order of rising 2θ (2θ from 10° to 90°):
2θ 15.9, rel. 41; 2θ 21.8, rel. 40; 2θ 31.0, rel. 100; 2θ 32.1, rel. 46; 2θ 45.2, rel. 69; 2θ 55.8, rel. 37



[5]
For LiB11, DFT lattice parameters and positions (PBE) gives the simulated XRD peak list in this record (Cu Kα X-rays).

Atomic structure:
```
LiB11
1.0
2.4124 1.3928 4.3376
-2.4124 1.3928 4.3376
0.0000 -2.7857 4.3376
Li B
1 11
Direct
0.0000 0.0000 0.0000
0.0496 0.6687 0.6687
0.0532 0.4494 0.4494
0.0884 0.0884 0.4475
0.0884 0.4475 0.0884
0.4314 0.4314 0.4314
0.4475 0.0884 0.0884
0.4494 0.0532 0.4494
0.4494 0.4494 0.0532
0.6687 0.0496 0.6687
0.6687 0.6687 0.0496
0.6854 0.6854 0.6854
```

Main lines, in order of rising 2θ (2θ from 10° to 90°):
2θ 22.3, rel. 15; 2θ 25.3, rel. 100; 2θ 45.6, rel. 30; 2θ 67.4, rel. 19; 2θ 69.6, rel. 17; 2θ 71.1, rel. 19



[6]
For Tb2Ti2O7, DFT lattice parameters and positions (PBE) gives the simulated XRD peak list in this record (Cu Kα X-rays).

Atomic structure:
```
Tb2Ti2O7
1.0
7.0134 0.0000 0.0000
0.0000 7.0134 0.0000
0.0000 0.0000 12.7320
Tb Ti O
8 8 28
Direct
0.1302 0.3600 0.1143
0.1400 0.6302 0.3643
0.3600 0.1302 0.8857
0.3698 0.8600 0.1357
0.6302 0.1400 0.6357
0.6400 0.8698 0.3857
0.8600 0.3698 0.8643
0.8698 0.6400 0.6143
0.1003 0.1482 0.6371
0.1482 0.1003 0.3629
0.3518 0.6003 0.8871
0.3997 0.6482 0.6129
0.6003 0.3518 0.1129
0.6482 0.3997 0.3871
0.8518 0.8997 0.8629
0.8997 0.8518 0.1371
0.0425 0.0747 0.8627
0.0736 0.6661 0.1788
0.0747 0.0425 0.1373
0.1371 0.3300 0.2931
0.1661 0.4264 0.9288
0.1700 0.6371 0.5431
0.1782 0.1782 0.5000
0.3218 0.6782 0.7500
0.3300 0.1371 0.7069
0.3339 0.9264 0.3212
0.3629 0.8300 0.9569
0.4253 0.5425 0.1127
0.4264 0.1661 0.0712
0.4575 0.5747 0.3873
0.5425 0.4253 0.8873
0.5736 0.8339 0.5712
0.5747 0.4575 0.6127
0.6371 0.1700 0.4569
0.6661 0.0736 0.8212
0.6700 0.8629 0.2069
0.6782 0.3218 0.2500
0.8218 0.8218 0.0000
0.8300 0.3629 0.0431
0.8339 0.5736 0.4288
0.8629 0.6700 0.7931
0.9253 0.9575 0.6373
0.9264 0.3339 0.6788
0.9575 0.9253 0.3627
```

Main lines, in order of rising 2θ (2θ from 10° to 90°):
2θ 14.4, rel. 70; 2θ 26.4, rel. 72; 2θ 28.0, rel. 62; 2θ 29.3, rel. 46; 2θ 31.8, rel. 100; 2θ 52.0, rel. 35



[7]
For TmNiSn4, DFT lattice parameters and positions (PBE) gives the simulated XRD peak list in this record (Cu Kα X-rays).

Atomic structure:
```
TmNiSn4
1.0
2.1930 -13.9981 0.0000
2.1930 13.9981 0.0000
0.0000 0.0000 4.5272
Tm Ni Sn
2 2 8
Direct
0.1946 0.8054 0.0000
0.8054 0.1946 0.0000
0.4489 0.5511 0.5000
0.5511 0.4489 0.5000
0.0000 0.0000 0.5000
0.1104 0.8896 0.5000
0.2860 0.7140 0.5000
0.3908 0.6092 0.0000
0.5000 0.5000 0.0000
0.6092 0.3908 0.0000
0.7140 0.2860 0.5000
0.8896 0.1104 0.5000
```

Main lines, in order of rising 2θ (2θ from 10° to 90°):
2θ 32.0, rel. 43; 2θ 32.6, rel. 100; 2θ 36.3, rel. 91; 2θ 39.8, rel. 52; 2θ 40.8, rel. 38; 2θ 41.2, rel. 47



[8]
For Sm3Si2Cl5O6, DFT lattice parameters and positions (PBE) gives the simulated XRD peak list in this record (Cu Kα X-rays).

Atomic structure:
```
Sm3Si2Cl5O6
1.0
5.3742 -5.3133 0.0000
5.3742 5.3133 0.0000
-2.7240 0.0000 11.6810
Sm Si Cl O
6 4 10 12
Direct
0.0000 0.5000 0.5000
0.0817 0.5853 0.8315
0.4147 0.9183 0.1685
0.5000 0.0000 0.5000
0.5853 0.0817 0.8315
0.9183 0.4147 0.1685
0.1089 0.8189 0.3578
0.1811 0.8911 0.6422
0.8189 0.1089 0.3578
0.8911 0.1811 0.6422
0.1077 0.6803 0.0792
0.2301 0.2301 0.1676
0.3172 0.3172 0.5039
0.3197 0.8923 0.9208
0.3829 0.3829 0.8588
0.6171 0.6171 0.1412
0.6803 0.1077 0.0792
0.6828 0.6828 0.4961
0.7699 0.7699 0.8324
0.8923 0.3197 0.9208
0.0416 0.6107 0.3280
0.0469 0.0469 0.6875
0.1300 0.6977 0.6723
0.1467 0.8533 0.5000
0.3023 0.8700 0.3277
0.3893 0.9584 0.6720
0.6107 0.0416 0.3280
0.6977 0.1300 0.6723
0.8533 0.1467 0.5000
0.8700 0.3023 0.3277
0.9531 0.9531 0.3125
0.9584 0.3893 0.6720
```

Main lines, in order of rising 2θ (2θ from 10° to 90°):
2θ 16.7, rel. 100; 2θ 16.9, rel. 54; 2θ 22.8, rel. 39; 2θ 23.9, rel. 41; 2θ 25.3, rel. 34; 2θ 38.0, rel. 35



[9]
For Tm2CuGe6, DFT lattice parameters and positions (PBE) gives the simulated XRD peak list in this record (Cu Kα X-rays).

Atomic structure:
```
Tm2CuGe6
1.0
4.0378 0.0000 0.0000
0.0000 2.0109 10.6066
0.0000 -2.0109 10.6066
Tm Cu Ge
2 1 6
Direct
0.0000 0.0000 0.0000
0.0000 0.3352 0.3352
0.5000 0.7815 0.7815
0.0000 0.6020 0.6020
0.0000 0.7191 0.7191
0.5000 0.1012 0.1012
0.5000 0.2194 0.2194
0.5000 0.4626 0.4626
0.5000 0.8899 0.8899
```

Main lines, in order of rising 2θ (2θ from 10° to 90°):
2θ 33.7, rel. 22; 2θ 33.9, rel. 100; 2θ 38.0, rel. 21; 2θ 44.6, rel. 18; 2θ 44.9, rel. 23; 2θ 45.1, rel. 23



[10]
For ZrCo, DFT lattice parameters and positions (PBE) gives the simulated XRD peak list in this record (Cu Kα X-rays).

Atomic structure:
```
ZrCo
1.0
3.1944 0.0000 0.0000
0.0000 3.1944 0.0000
0.0000 0.0000 3.1944
Zr Co
1 1
Direct
0.0000 0.0000 0.0000
0.5000 0.5000 0.5000
```

Main lines, in order of rising 2θ (2θ from 10° to 90°):
2θ 27.9, rel. 5; 2θ 39.9, rel. 100; 2θ 57.7, rel. 16; 2θ 65.3, rel. 2; 2θ 72.5, rel. 31; 2θ 86.1, rel. 10



[11]
For TlInSe2, DFT lattice parameters and positions (PBE) gives the simulated XRD peak list in this record (Cu Kα X-rays).

Atomic structure:
```
TlInSe2
1.0
8.1450 0.0000 0.0000
0.0000 8.1450 0.0000
0.0000 0.0000 7.0968
Tl In Se
4 4 8
Direct
0.0000 0.5000 0.2500
0.0000 0.5000 0.7500
0.5000 0.0000 0.2500
0.5000 0.0000 0.7500
0.0000 0.0000 0.2500
0.0000 0.0000 0.7500
0.5000 0.5000 0.2500
0.5000 0.5000 0.7500
0.1808 0.3192 0.0000
0.1808 0.6808 0.5000
0.3192 0.1808 0.5000
0.3192 0.8192 0.0000
0.6808 0.1808 0.0000
0.6808 0.8192 0.5000
0.8192 0.3192 0.5000
0.8192 0.6808 0.0000
```

Main lines, in order of rising 2θ (2θ from 10° to 90°):
2θ 15.4, rel. 22; 2θ 21.8, rel. 37; 2θ 27.5, rel. 24; 2θ 31.1, rel. 51; 2θ 33.5, rel. 100; 2θ 56.8, rel. 23



[12]
For CsHO, DFT lattice parameters and positions (PBE) gives the simulated XRD peak list in this record (Cu Kα X-rays).

Atomic structure:
```
CsHO
1.0
4.4128 0.0000 0.0000
0.0000 4.4686 0.0000
0.0000 0.0000 13.1894
Cs H O
4 4 4
Direct
0.2486 0.0076 0.1503
0.2514 0.9924 0.6503
0.7486 0.4924 0.8497
0.7514 0.5076 0.3497
0.1441 0.0033 0.4453
0.3559 0.9967 0.9453
0.6441 0.4967 0.5547
0.8559 0.5033 0.0547
0.2343 0.9988 0.8840
0.2657 0.0012 0.3840
0.7343 0.5012 0.1160
0.7657 0.4988 0.6160
```

Main lines, in order of rising 2θ (2θ from 10° to 90°):
2θ 24.1, rel. 75; 2θ 24.3, rel. 74; 2θ 27.0, rel. 38; 2θ 28.4, rel. 100; 2θ 39.6, rel. 52; 2θ 47.7, rel. 25